Record 1
Diffraction record for Al2HW. The powder diffractogram is calculated, not measured: it uses a cell relaxed with GGA-PBE and a wavelength of 1.5418 Å.
Intensities are scaled so that the largest is 100.

Atomic structure:
abc: 5.697 5.697 6.297
angles: 90.00 90.00 90.00
Sites, in units of the cell vectors:
Al 0.135 0.250 0.125
Al 0.250 0.635 0.375
Al 0.250 0.865 0.875
Al 0.365 0.250 0.625
Al 0.635 0.750 0.625
Al 0.750 0.135 0.875
Al 0.750 0.365 0.375
Al 0.865 0.750 0.125
H 0.000 0.000 0.000
H 0.000 0.500 0.250
H 0.500 0.000 0.750
H 0.500 0.500 0.500
W 0.000 0.000 0.500
W 0.000 0.500 0.750
W 0.500 0.000 0.250
W 0.500 0.500 0.000

Top 10 peaks for 2θ = 15–90°, low angle first:
| d/Å | intensity |
| --- | --- |
| 4.225 | 100.0 |
| 2.849 | 36.8 |
| 2.481 | 76.7 |
| 2.362 | 83.0 |
| 2.014 | 21.4 |
| 1.969 | 23.5 |
| 1.818 | 19.6 |
| 1.620 | 15.6 |
| 1.564 | 35.8 |
| 1.378 | 15.8 |


Record 2
Diffraction record for Al2ZnH6. The powder diffractogram is calculated, not measured: it uses a cell relaxed with GGA-PBE and a wavelength of 1.5418 Å.
Intensities are scaled so that the largest is 100.

Atomic structure:
abc: 4.633 4.633 4.633
angles: 60.00 60.00 60.00
Sites, in units of the cell vectors:
Al 0.250 0.250 0.250
Al 0.750 0.750 0.750
Zn 0.000 0.000 0.000
H 0.273 0.273 0.727
H 0.273 0.727 0.273
H 0.273 0.727 0.727
H 0.727 0.273 0.273
H 0.727 0.273 0.727
H 0.727 0.727 0.273

Top 10 peaks for 2θ = 15–90°, low angle first:
| d/Å | intensity |
| --- | --- |
| 3.783 | 80.9 |
| 3.276 | 3.5 |
| 2.317 | 100.0 |
| 1.976 | 41.8 |
| 1.638 | 18.4 |
| 1.503 | 16.7 |
| 1.337 | 33.1 |
| 1.261 | 11.4 |
| 1.158 | 10.8 |
| 1.108 | 11.4 |


Record 3
Diffraction record for ZrAlH. The powder diffractogram is calculated, not measured: it uses a cell relaxed with GGA-PBE and a wavelength of 1.5418 Å.
Intensities are scaled so that the largest is 100.

Atomic structure:
abc: 4.384 4.717 8.031
angles: 90.00 90.00 90.00
Sites, in units of the cell vectors:
Zr 0.000 0.250 0.171
Zr 0.000 0.750 0.829
Zr 0.500 0.250 0.829
Zr 0.500 0.750 0.171
Al 0.000 0.250 0.599
Al 0.000 0.750 0.401
Al 0.500 0.250 0.401
Al 0.500 0.750 0.599
H 0.250 0.000 0.000
H 0.250 0.500 0.000
H 0.750 0.000 0.000
H 0.750 0.500 0.000

Top 10 peaks for 2θ = 15–90°, low angle first:
| d/Å | intensity |
| --- | --- |
| 4.016 | 13.2 |
| 2.982 | 66.3 |
| 2.677 | 19.6 |
| 2.508 | 100.0 |
| 2.359 | 27.5 |
| 2.192 | 22.1 |
| 1.702 | 13.2 |
| 1.606 | 21.0 |
| 1.389 | 14.9 |
| 1.376 | 15.4 |


Record 4
Diffraction record for Hf8Al. The powder diffractogram is calculated, not measured: it uses a cell relaxed with GGA-PBE and a wavelength of 1.5418 Å.
Intensities are scaled so that the largest is 100.

Atomic structure:
abc: 7.039 7.039 7.039
angles: 95.45 95.45 144.11
Sites, in units of the cell vectors:
Hf 0.000 0.332 0.332
Hf 0.000 0.668 0.668
Hf 0.332 0.000 0.332
Hf 0.335 0.335 0.671
Hf 0.335 0.665 0.000
Hf 0.665 0.335 0.000
Hf 0.665 0.665 0.329
Hf 0.668 0.000 0.668
Al 0.000 0.000 0.000

Top 10 peaks for 2θ = 15–90°, low angle first:
| d/Å | intensity |
| --- | --- |
| 3.030 | 3.7 |
| 2.552 | 100.0 |
| 2.232 | 34.2 |
| 2.169 | 15.7 |
| 1.578 | 11.7 |
| 1.555 | 22.3 |
| 1.342 | 27.2 |
| 1.314 | 12.9 |
| 1.276 | 11.5 |
| 1.116 | 4.2 |


Record 5
Diffraction record for Hf3Al2. The powder diffractogram is calculated, not measured: it uses a cell relaxed with GGA-PBE and a wavelength of 1.5418 Å.
Intensities are scaled so that the largest is 100.

Atomic structure:
abc: 7.551 7.551 6.930
angles: 90.00 90.00 90.00
Sites, in units of the cell vectors:
Hf 0.000 0.500 0.250
Hf 0.000 0.500 0.750
Hf 0.152 0.152 0.000
Hf 0.206 0.206 0.500
Hf 0.294 0.706 0.000
Hf 0.348 0.652 0.500
Hf 0.500 0.000 0.250
Hf 0.500 0.000 0.750
Hf 0.652 0.348 0.500
Hf 0.706 0.294 0.000
Hf 0.794 0.794 0.500
Hf 0.848 0.848 0.000
Al 0.121 0.879 0.294
Al 0.121 0.879 0.706
Al 0.379 0.379 0.206
Al 0.379 0.379 0.794
Al 0.621 0.621 0.206
Al 0.621 0.621 0.794
Al 0.879 0.121 0.294
Al 0.879 0.121 0.706

Top 10 peaks for 2θ = 15–90°, low angle first:
| d/Å | intensity |
| --- | --- |
| 3.377 | 47.9 |
| 2.907 | 47.2 |
| 2.670 | 39.6 |
| 2.553 | 100.0 |
| 2.418 | 74.8 |
| 2.388 | 61.8 |
| 2.258 | 24.9 |
| 1.619 | 19.2 |
| 1.583 | 27.0 |
| 1.402 | 22.9 |


Record 6
Diffraction record for Hf3Al. The powder diffractogram is calculated, not measured: it uses a cell relaxed with GGA-PBE and a wavelength of 1.5418 Å.
Intensities are scaled so that the largest is 100.

Atomic structure:
abc: 3.134 4.978 5.338
angles: 90.00 90.00 90.00
Sites, in units of the cell vectors:
Hf 0.000 0.000 0.000
Hf 0.000 0.500 0.360
Hf 0.500 0.000 0.511
Al 0.500 0.500 0.852

Top 10 peaks for 2θ = 15–90°, low angle first:
| d/Å | intensity |
| --- | --- |
| 3.641 | 15.4 |
| 2.702 | 22.4 |
| 2.669 | 17.4 |
| 2.489 | 35.0 |
| 2.375 | 100.0 |
| 2.352 | 39.3 |
| 1.831 | 14.4 |
| 1.547 | 15.7 |
| 1.414 | 19.8 |
| 1.314 | 18.3 |


Record 7
Diffraction record for Ho4HfAl15. The powder diffractogram is calculated, not measured: it uses a cell relaxed with GGA-PBE and a wavelength of 1.5418 Å.
Intensities are scaled so that the largest is 100.

Atomic structure:
abc: 4.216 4.216 21.076
angles: 90.00 90.00 90.00
Sites, in units of the cell vectors:
Ho 0.000 0.000 0.101
Ho 0.000 0.000 0.305
Ho 0.000 0.000 0.695
Ho 0.000 0.000 0.899
Hf 0.000 0.000 0.500
Al 0.000 0.500 0.000
Al 0.000 0.500 0.203
Al 0.000 0.500 0.406
Al 0.000 0.500 0.594
Al 0.000 0.500 0.797
Al 0.500 0.000 0.000
Al 0.500 0.000 0.203
Al 0.500 0.000 0.406
Al 0.500 0.000 0.594
Al 0.500 0.000 0.797
Al 0.500 0.500 0.102
Al 0.500 0.500 0.304
Al 0.500 0.500 0.500
Al 0.500 0.500 0.696
Al 0.500 0.500 0.898

Top 10 peaks for 2θ = 15–90°, low angle first:
| d/Å | intensity |
| --- | --- |
| 4.216 | 97.0 |
| 2.981 | 82.0 |
| 2.434 | 100.0 |
| 2.108 | 48.9 |
| 1.885 | 44.6 |
| 1.721 | 33.5 |
| 1.490 | 31.9 |
| 1.405 | 21.2 |
| 1.271 | 37.1 |
| 1.127 | 17.1 |


Record 8
Diffraction record for Hf4AlIn. The powder diffractogram is calculated, not measured: it uses a cell relaxed with GGA-PBE and a wavelength of 1.5418 Å.
Intensities are scaled so that the largest is 100.

Atomic structure:
abc: 10.536 3.225 8.028
angles: 90.00 112.33 90.00
Sites, in units of the cell vectors:
Hf 0.162 0.000 0.338
Hf 0.165 0.000 0.824
Hf 0.335 0.500 0.176
Hf 0.338 0.500 0.662
Hf 0.662 0.500 0.338
Hf 0.665 0.500 0.824
Hf 0.835 0.000 0.176
Hf 0.838 0.000 0.662
Al 0.000 0.500 0.500
Al 0.500 0.000 0.500
In 0.000 0.500 0.000
In 0.500 0.000 0.000

Top 10 peaks for 2θ = 15–90°, low angle first:
| d/Å | intensity |
| --- | --- |
| 3.712 | 18.0 |
| 2.525 | 100.0 |
| 2.514 | 99.2 |
| 2.289 | 76.3 |
| 2.007 | 25.1 |
| 1.624 | 13.1 |
| 1.613 | 13.0 |
| 1.509 | 40.1 |
| 1.364 | 29.0 |
| 1.359 | 28.9 |


What did the second record say?
Diffraction record for Al2ZnH6. The powder diffractogram is calculated, not measured: it uses a cell relaxed with GGA-PBE and a wavelength of 1.5418 Å.
Intensities are scaled so that the largest is 100.

Atomic structure:
abc: 4.633 4.633 4.633
angles: 60.00 60.00 60.00
Sites, in units of the cell vectors:
Al 0.250 0.250 0.250
Al 0.750 0.750 0.750
Zn 0.000 0.000 0.000
H 0.273 0.273 0.727
H 0.273 0.727 0.273
H 0.273 0.727 0.727
H 0.727 0.273 0.273
H 0.727 0.273 0.727
H 0.727 0.727 0.273

Top 10 peaks for 2θ = 15–90°, low angle first:
| d/Å | intensity |
| --- | --- |
| 3.783 | 80.9 |
| 3.276 | 3.5 |
| 2.317 | 100.0 |
| 1.976 | 41.8 |
| 1.638 | 18.4 |
| 1.503 | 16.7 |
| 1.337 | 33.1 |
| 1.261 | 11.4 |
| 1.158 | 10.8 |
| 1.108 | 11.4 |